1.
# AlCuO2
Simulated powder XRD pattern, Cu Ka. Input: a DFT-relaxed cell (PBE, the Materials Project).
Kinematic intensities with the Lorentz-polarization factor, no thermal factor.

Crystal structure
Cell lengths 2.8798, 2.8798, 11.4133 Å; angles 90.00, 90.00, 120.00 degrees
Fractional coordinates of all 8 atoms:
Al 0.0000 0.0000 0.0000
Al 0.0000 0.0000 0.5000
Cu 0.3333 0.6667 0.2500
Cu 0.6667 0.3333 0.7500
O 0.3333 0.6667 0.0851
O 0.3333 0.6667 0.4149
O 0.6667 0.3333 0.5851
O 0.6667 0.3333 0.9149

Largest 12 diffraction maxima, sorted by position, 2θ from 10° to 90°:
15.5°, I = 13; 31.4°, I = 29; 36.9°, I = 100; 39.4°, I = 43; 43.4°, I = 12; 47.8°, I = 7; 54.5°, I = 28; 61.3°, I = 21; 64.7°, I = 24; 68.8°, I = 13; 73.7°, I = 14; 76.9°, I = 9

2.
# Na2BeF4
Simulated powder XRD pattern, Cu Ka. Input: a DFT-relaxed cell (PBE, the Materials Project).
Kinematic intensities with the Lorentz-polarization factor, no thermal factor.

Crystal structure
Cell lengths 5.6297, 8.1068, 8.9779 Å; angles 90.00, 118.31, 90.00 degrees
Fractional coordinates of all 28 atoms:
Na 0.0887 0.1570 0.3747
Na 0.0887 0.3430 0.8747
Na 0.3556 0.0135 0.1367
Na 0.3556 0.4865 0.6367
Na 0.6444 0.5135 0.3633
Na 0.6444 0.9865 0.8633
Na 0.9113 0.6570 0.1253
Na 0.9113 0.8430 0.6253
Be 0.2540 0.6971 0.9619
Be 0.2540 0.8029 0.4619
Be 0.7460 0.1971 0.5381
Be 0.7460 0.3029 0.0381
F 0.0159 0.6815 0.4319
F 0.0159 0.8185 0.9319
F 0.1767 0.6070 0.7931
F 0.1767 0.8930 0.2931
F 0.2877 0.5701 0.1015
F 0.2877 0.9299 0.6015
F 0.4842 0.1951 0.9797
F 0.4842 0.3049 0.4797
F 0.5158 0.6951 0.5203
F 0.5158 0.8049 0.0203
F 0.7123 0.0701 0.3985
F 0.7123 0.4299 0.8985
F 0.8233 0.1070 0.7069
F 0.8233 0.3930 0.2069
F 0.9841 0.1815 0.0681
F 0.9841 0.3185 0.5681

Largest 12 diffraction maxima, sorted by position, 2θ from 10° to 90°:
27.7°, I = 100; 30.6°, I = 99; 31.6°, I = 48; 37.4°, I = 52; 39.4°, I = 77; 40.8°, I = 62; 42.8°, I = 41; 46.4°, I = 39; 47.0°, I = 69; 47.8°, I = 38; 48.2°, I = 45; 52.0°, I = 46

3.
# Zn8Ag5
Simulated powder XRD pattern, Cu Ka. Input: a DFT-relaxed cell (PBE, the Materials Project).
Kinematic intensities with the Lorentz-polarization factor, no thermal factor.

Crystal structure
Cell lengths 8.1766, 8.1766, 8.1766 Å; angles 109.47, 109.47, 109.47 degrees
Fractional coordinates of all 26 atoms:
Zn 0.0000 0.0000 0.2195
Zn 0.0000 0.2195 0.0000
Zn 0.0000 0.3438 0.7138
Zn 0.0000 0.7138 0.3438
Zn 0.2195 0.0000 0.0000
Zn 0.2862 0.2862 0.6300
Zn 0.2862 0.6300 0.2862
Zn 0.3438 0.0000 0.7138
Zn 0.3438 0.7138 0.0000
Zn 0.3700 0.6562 0.6562
Zn 0.6300 0.2862 0.2862
Zn 0.6562 0.3700 0.6562
Zn 0.6562 0.6562 0.3700
Zn 0.7138 0.0000 0.3438
Zn 0.7138 0.3438 0.0000
Zn 0.7805 0.7805 0.7805
Ag 0.0000 0.0000 0.6406
Ag 0.0000 0.3535 0.3535
Ag 0.0000 0.6406 0.0000
Ag 0.0000 0.6465 0.6465
Ag 0.3535 0.0000 0.3535
Ag 0.3535 0.3535 0.0000
Ag 0.3594 0.3594 0.3594
Ag 0.6406 0.0000 0.0000
Ag 0.6465 0.0000 0.6465
Ag 0.6465 0.6465 0.0000

Largest 12 diffraction maxima, sorted by position, 2θ from 10° to 90°:
23.1°, I = 9; 35.6°, I = 3; 40.5°, I = 100; 45.0°, I = 2; 47.2°, I = 4; 58.7°, I = 11; 60.4°, I = 2; 68.9°, I = 4; 70.5°, I = 3; 73.7°, I = 20; 83.1°, I = 9; 87.7°, I = 4

4.
# Er5Bi3
Simulated powder XRD pattern, Cu Ka. Input: a DFT-relaxed cell (PBE, the Materials Project).
Kinematic intensities with the Lorentz-polarization factor, no thermal factor.

Crystal structure
Cell lengths 8.1999, 9.4818, 11.9286 Å; angles 90.00, 90.00, 90.00 degrees
Fractional coordinates of all 32 atoms:
Er 0.0220 0.2500 0.0112
Er 0.1471 0.7500 0.2837
Er 0.1862 0.2500 0.2824
Er 0.1917 0.0651 0.5584
Er 0.1917 0.4349 0.5584
Er 0.3083 0.5651 0.0584
Er 0.3083 0.9349 0.0584
Er 0.3138 0.7500 0.7824
Er 0.3529 0.2500 0.7837
Er 0.4780 0.7500 0.5112
Er 0.5220 0.2500 0.4888
Er 0.6471 0.7500 0.2163
Er 0.6862 0.2500 0.2176
Er 0.6917 0.0651 0.9416
Er 0.6917 0.4349 0.9416
Er 0.8083 0.5651 0.4416
Er 0.8083 0.9349 0.4416
Er 0.8138 0.7500 0.7176
Er 0.8529 0.2500 0.7163
Er 0.9780 0.7500 0.9888
Bi 0.0650 0.0040 0.8252
Bi 0.0650 0.4960 0.8252
Bi 0.0961 0.7500 0.5431
Bi 0.4039 0.2500 0.0431
Bi 0.4350 0.5040 0.3252
Bi 0.4350 0.9960 0.3252
Bi 0.5650 0.0040 0.6748
Bi 0.5650 0.4960 0.6748
Bi 0.5961 0.7500 0.9569
Bi 0.9039 0.2500 0.4569
Bi 0.9350 0.5040 0.1748
Bi 0.9350 0.9960 0.1748

Largest 12 diffraction maxima, sorted by position, 2θ from 10° to 90°:
29.8°, I = 57; 31.3°, I = 100; 31.9°, I = 49; 32.5°, I = 66; 33.6°, I = 25; 35.0°, I = 15; 35.6°, I = 21; 38.0°, I = 37; 41.0°, I = 22; 51.1°, I = 13; 60.2°, I = 23; 62.9°, I = 15

5.
# Ca2ZnAs2H4O10
Simulated powder XRD pattern, Cu Ka. Input: a DFT-relaxed cell (PBE, the Materials Project).
Kinematic intensities with the Lorentz-polarization factor, no thermal factor.

Crystal structure
Cell lengths 5.6780, 5.9548, 7.1303 Å; angles 108.61, 97.23, 109.64 degrees
Fractional coordinates of all 19 atoms:
Ca 0.1476 0.2942 0.2630
Ca 0.8524 0.7058 0.7370
Zn 0.5000 0.0000 0.5000
As 0.1745 0.3383 0.7475
As 0.8255 0.6617 0.2525
H 0.3425 0.8737 0.1043
H 0.4248 0.8423 0.8055
H 0.5752 0.1577 0.1945
H 0.6575 0.1263 0.8957
O 0.0957 0.7542 0.4504
O 0.1411 0.1577 0.8928
O 0.2215 0.6540 0.8860
O 0.4214 0.0446 0.2278
O 0.4277 0.3480 0.6321
O 0.5723 0.6520 0.3679
O 0.5786 0.9554 0.7722
O 0.7785 0.3460 0.1140
O 0.8589 0.8423 0.1072
O 0.9043 0.2458 0.5496

Largest 12 diffraction maxima, sorted by position, 2θ from 10° to 90°:
13.6°, I = 23; 17.3°, I = 32; 24.5°, I = 27; 24.6°, I = 31; 26.1°, I = 33; 27.3°, I = 22; 28.3°, I = 26; 28.9°, I = 62; 31.2°, I = 19; 31.5°, I = 28; 31.9°, I = 100; 53.2°, I = 19

6.
# CeSiBIr3
Simulated powder XRD pattern, Cu Ka. Input: a DFT-relaxed cell (PBE, the Materials Project).
Kinematic intensities with the Lorentz-polarization factor, no thermal factor.

Crystal structure
Cell lengths 5.5425, 5.5425, 3.4848 Å; angles 90.00, 90.00, 120.00 degrees
Fractional coordinates of all 6 atoms:
Ce 0.0000 0.0000 0.0000
Si 0.6667 0.3333 0.0000
B 0.3333 0.6667 0.0000
Ir 0.0128 0.5064 0.5000
Ir 0.4936 0.5064 0.5000
Ir 0.4936 0.9872 0.5000

Largest 12 diffraction maxima, sorted by position, 2θ from 10° to 90°:
25.6°, I = 29; 31.7°, I = 65; 37.5°, I = 100; 41.6°, I = 42; 45.9°, I = 48; 52.5°, I = 15; 57.2°, I = 25; 64.0°, I = 13; 66.3°, I = 38; 67.6°, I = 20; 76.6°, I = 10; 79.9°, I = 11

7.
# La2NdMn6Si6
Simulated powder XRD pattern, Cu Ka. Input: a DFT-relaxed cell (PBE, the Materials Project).
Kinematic intensities with the Lorentz-polarization factor, no thermal factor.

Crystal structure
Cell lengths 16.1669, 16.1669, 16.1669 Å; angles 165.79, 165.79, 20.15 degrees
Fractional coordinates of all 15 atoms:
La 0.1665 0.1665 0.0000
La 0.8335 0.8335 0.0000
Nd 0.5000 0.5000 0.0000
Mn 0.0829 0.5829 0.5000
Mn 0.2500 0.7500 0.5000
Mn 0.4171 0.9171 0.5000
Mn 0.5829 0.0829 0.5000
Mn 0.7500 0.2500 0.5000
Mn 0.9171 0.4171 0.5000
Si 0.0416 0.0416 0.0000
Si 0.2907 0.2907 0.0000
Si 0.3760 0.3760 0.0000
Si 0.6240 0.6240 0.0000
Si 0.7093 0.7093 0.0000
Si 0.9584 0.9584 0.0000

Largest 12 diffraction maxima, sorted by position, 2θ from 10° to 90°:
23.8°, I = 44; 33.8°, I = 80; 36.0°, I = 100; 45.4°, I = 39; 48.6°, I = 21; 51.8°, I = 11; 57.8°, I = 41; 61.9°, I = 20; 66.1°, I = 12; 68.6°, I = 15; 77.6°, I = 19; 88.4°, I = 11

8.
# Ni4Ge3As9
Simulated powder XRD pattern, Cu Ka. Input: a DFT-relaxed cell (PBE, the Materials Project).
Kinematic intensities with the Lorentz-polarization factor, no thermal factor.

Crystal structure
Cell lengths 7.2309, 7.2309, 8.2878 Å; angles 124.95, 124.95, 71.23 degrees
Fractional coordinates of all 16 atoms:
Ni 0.2482 0.7518 0.0000
Ni 0.2520 0.7521 0.5002
Ni 0.7518 0.2482 0.0000
Ni 0.7521 0.2520 0.5002
Ge 0.5954 0.5954 0.6937
Ge 0.5956 0.5956 0.9963
Ge 0.9064 0.9064 0.3061
As 0.0593 0.7470 0.6510
As 0.0984 0.4020 0.8421
As 0.0984 0.4051 0.1573
As 0.4020 0.0984 0.8421
As 0.4051 0.0984 0.1573
As 0.4454 0.7547 0.3494
As 0.7470 0.0593 0.6510
As 0.7547 0.4454 0.3494
As 0.9058 0.9058 0.0051

Largest 12 diffraction maxima, sorted by position, 2θ from 10° to 90°:
15.0°, I = 26; 33.7°, I = 100; 34.0°, I = 97; 34.2°, I = 96; 40.3°, I = 29; 40.4°, I = 28; 48.5°, I = 37; 49.0°, I = 28; 53.5°, I = 22; 55.9°, I = 25; 56.3°, I = 26; 56.3°, I = 24

Please write out number 7 again, unchanged.
# La2NdMn6Si6
Simulated powder XRD pattern, Cu Ka. Input: a DFT-relaxed cell (PBE, the Materials Project).
Kinematic intensities with the Lorentz-polarization factor, no thermal factor.

Crystal structure
Cell lengths 16.1669, 16.1669, 16.1669 Å; angles 165.79, 165.79, 20.15 degrees
Fractional coordinates of all 15 atoms:
La 0.1665 0.1665 0.0000
La 0.8335 0.8335 0.0000
Nd 0.5000 0.5000 0.0000
Mn 0.0829 0.5829 0.5000
Mn 0.2500 0.7500 0.5000
Mn 0.4171 0.9171 0.5000
Mn 0.5829 0.0829 0.5000
Mn 0.7500 0.2500 0.5000
Mn 0.9171 0.4171 0.5000
Si 0.0416 0.0416 0.0000
Si 0.2907 0.2907 0.0000
Si 0.3760 0.3760 0.0000
Si 0.6240 0.6240 0.0000
Si 0.7093 0.7093 0.0000
Si 0.9584 0.9584 0.0000

Largest 12 diffraction maxima, sorted by position, 2θ from 10° to 90°:
23.8°, I = 44; 33.8°, I = 80; 36.0°, I = 100; 45.4°, I = 39; 48.6°, I = 21; 51.8°, I = 11; 57.8°, I = 41; 61.9°, I = 20; 66.1°, I = 12; 68.6°, I = 15; 77.6°, I = 19; 88.4°, I = 11